The following is a theoretical X-ray powder pattern of CaTlCu3Se4. It was derived from a crystal structure in the Materials Project, relaxed with PBE, using CuKα.
Kinematic intensities with the Lorentz-polarization factor, no thermal factor.

Crystal structure
```
data_CaTlCu3Se4
_chemical_formula_sum 'Ca1 Tl1 Cu3 Se4'
_cell_length_a 6.182
_cell_length_b 6.182
_cell_length_c 6.182
_cell_angle_alpha 90.00
_cell_angle_beta 90.00
_cell_angle_gamma 90.00
_space_group_name_H-M_alt 'P -4 3 m'
_space_group_IT_number 215
_space_group_name_Hall 'P -4 2 3'
loop_
_atom_site_label
_atom_site_type_symbol
_atom_site_fract_x
_atom_site_fract_y
_atom_site_fract_z
_atom_site_occupancy
Ca1 Ca 0.000 0.000 0.000 1
Tl1 Tl 0.500 0.500 0.500 1
Cu1 Cu 0.000 0.500 0.500 1
Se1 Se 0.257 0.257 0.743 1
```

Most intense lines, 2θ = 10–90°, by angle:
2θ = 14.3°, d 6.182, I = 66, (1 0 0)
2θ = 20.3°, d 4.371, I = 32, (1 1 0)
2θ = 24.9°, d 3.569, I = 46, (1 1 1)
2θ = 32.4°, d 2.764, I = 30, (2 1 0)
2θ = 35.6°, d 2.524, I = 16, (2 1 1)
2θ = 41.3°, d 2.185, I = 100, (2 2 0)
2θ = 43.9°, d 2.061, I = 19, (2 2 1)
2θ = 48.9°, d 1.864, I = 21, (3 1 1)
2θ = 59.8°, d 1.545, I = 16, (4 0 0)
2θ = 75.3°, d 1.262, I = 32, (4 2 2)

***

The following is a theoretical X-ray powder pattern of Sn2Sb2S5. It was derived from a crystal structure in the Materials Project, relaxed with PBE, using CuKα.
Kinematic intensities with the Lorentz-polarization factor, no thermal factor.

Crystal structure
```
data_Sn2Sb2S5
_chemical_formula_sum 'Sn8 Sb8 S20'
_cell_length_a 20.602
_cell_length_b 3.969
_cell_length_c 11.524
_cell_angle_alpha 90.00
_cell_angle_beta 90.00
_cell_angle_gamma 90.00
_space_group_name_H-M_alt 'P n m a'
_space_group_IT_number 62
loop_
_space_group_symop_operation_xyz
'x,y,z'
'-x,-y,-z'
'-x+1/2,-y,z+1/2'
'x+1/2,y,-z+1/2'
'x+1/2,-y+1/2,-z+1/2'
'-x+1/2,y+1/2,z+1/2'
'-x,y+1/2,-z'
'x,-y+1/2,z'
loop_
_atom_site_label
_atom_site_type_symbol
_atom_site_fract_x
_atom_site_fract_y
_atom_site_fract_z
_atom_site_occupancy
Sn1 Sn 0.089 0.250 0.003 1
Sn2 Sn 0.200 0.250 0.337 1
Sb1 Sb 0.030 0.750 0.291 1
Sb2 Sb 0.132 0.750 0.624 1
S1 S 0.020 0.750 0.869 1
S2 S 0.078 0.250 0.425 1
S3 S 0.129 0.750 0.176 1
S4 S 0.172 0.250 0.747 1
S5 S 0.227 0.750 0.497 1
```

Most intense lines, 2θ = 10–90°, by angle:
2θ = 15.0°, d 5.899, I = 26, (3 0 1)
2θ = 23.6°, d 3.776, I = 40, (1 0 3)
2θ = 25.3°, d 3.526, I = 29, (2 1 1)
2θ = 26.6°, d 3.352, I = 33, (5 0 2)
2θ = 27.1°, d 3.292, I = 59, (6 0 1)
2θ = 30.3°, d 2.951, I = 100, (3 1 2)
2θ = 32.4°, d 2.760, I = 91, (4 1 2)
2θ = 45.7°, d 1.984, I = 30, (0 2 0)
2θ = 49.9°, d 1.828, I = 24, (10 1 0)
2θ = 51.9°, d 1.762, I = 25, (9 1 3)

***

The following is a theoretical X-ray powder pattern of CdPd3. It was derived from a crystal structure in the Materials Project, relaxed with PBE, using CuKα.
Kinematic intensities with the Lorentz-polarization factor, no thermal factor.

Crystal structure
```
data_CdPd3
_chemical_formula_sum 'Cd3 Pd9'
_cell_length_a 2.9148
_cell_length_b 2.9148
_cell_length_c 27.0418
_cell_angle_alpha 90.00
_cell_angle_beta 90.00
_cell_angle_gamma 120.00
_space_group_name_H-M_alt 'R -3 m'
_space_group_IT_number 166
_space_group_name_Hall '-R 3 2"'
loop_
_atom_site_label
_atom_site_type_symbol
_atom_site_fract_x
_atom_site_fract_y
_atom_site_fract_z
_atom_site_occupancy
Cd1 Cd 0.0000 0.0000 0.0000 1
Pd1 Pd 0.0000 0.0000 0.2494 1
Pd2 Pd 0.0000 0.0000 0.5000 1
```

Most intense lines, 2θ = 10–90°, by angle:
2θ = 38.1°, d 2.365, I = 100, (1 0 4)
2θ = 40.0°, d 2.253, I = 29, (0 0 12)
2θ = 44.8°, d 2.023, I = 62, (0 1 8)
2θ = 63.9°, d 1.457, I = 21, (1 1 0)
2θ = 66.6°, d 1.404, I = 18, (1 0 16)
2θ = 76.8°, d 1.241, I = 12, (0 2 4)
2θ = 78.1°, d 1.224, I = 23, (1 1 12)
2θ = 80.6°, d 1.192, I = 11, (0 1 20)
2θ = 81.4°, d 1.182, I = 10, (2 0 8)
2θ = 86.3°, d 1.127, I = 3, (0 0 24)

***

The following is a theoretical X-ray powder pattern of PuCo2. It was derived from a crystal structure in the Materials Project, relaxed with PBE, using CuKα.
Kinematic intensities with the Lorentz-polarization factor, no thermal factor.

Crystal structure
Cell lengths 7.084, 7.084, 7.084 Å; angles 90.00, 90.00, 90.00 degrees
Space group Fd-3m (No. 227, origin choice 2)
Asymmetric unit:
Pu 0.125 0.125 0.125 x8
Co 0.000 0.000 0.500 x16

Most intense lines, 2θ = 10–90°, by angle:
2θ = 21.7°, d 4.090, I = 36, (1 1 1)
2θ = 35.9°, d 2.504, I = 83, (2 2 0)
2θ = 42.3°, d 2.136, I = 100, (3 1 1)
2θ = 44.3°, d 2.045, I = 8, (2 2 2)
2θ = 56.6°, d 1.625, I = 10, (3 3 1)
2θ = 64.4°, d 1.446, I = 32, (4 2 2)
2θ = 68.9°, d 1.363, I = 31, (5 1 1)
2θ = 76.0°, d 1.252, I = 22, (4 4 0)
2θ = 80.2°, d 1.197, I = 8, (5 3 1)
2θ = 87.0°, d 1.120, I = 15, (6 2 0)

***

The following is a theoretical X-ray powder pattern of Ag5BS4. It was derived from a crystal structure in the Materials Project, relaxed with PBE, using CuKα.
Kinematic intensities with the Lorentz-polarization factor, no thermal factor.

Crystal structure
```
data_Ag5BS4
_chemical_formula_sum 'Ag40 B8 S32'
_cell_length_a 11.592
_cell_length_b 11.592
_cell_length_c 11.592
_cell_angle_alpha 90.00
_cell_angle_beta 90.00
_cell_angle_gamma 90.00
_space_group_name_H-M_alt 'F -4 3 m'
_space_group_IT_number 216
_space_group_name_Hall 'F -4 2 3'
loop_
_atom_site_label
_atom_site_type_symbol
_atom_site_fract_x
_atom_site_fract_y
_atom_site_fract_z
_atom_site_occupancy
Ag1 Ag 0.000 0.000 0.221 1
Ag2 Ag 0.164 0.164 0.836 1
B1 B 0.000 0.000 0.500 1
B2 B 0.250 0.250 0.250 1
S1 S 0.099 0.099 0.599 1
S2 S 0.151 0.151 0.151 1
```

Most intense lines, 2θ = 10–90°, by angle:
2θ = 13.2°, d 6.693, I = 70, (1 1 1)
2θ = 25.5°, d 3.495, I = 25, (3 1 1)
2θ = 26.6°, d 3.346, I = 100, (2 2 2)
2θ = 34.6°, d 2.592, I = 29, (4 2 0)
2θ = 38.0°, d 2.366, I = 45, (4 2 2)
2θ = 40.4°, d 2.231, I = 99, (3 3 3)
2θ = 44.2°, d 2.049, I = 61, (4 4 0)
2θ = 47.0°, d 1.932, I = 26, (6 0 0)
2θ = 61.4°, d 1.509, I = 32, (7 3 1)
2θ = 86.9°, d 1.121, I = 22, (7 7 3)

***

The following is a theoretical X-ray powder pattern of SrCaYRuO6. It was derived from a crystal structure in the Materials Project, relaxed with PBE, using CuKα.
Kinematic intensities with the Lorentz-polarization factor, no thermal factor.

Crystal structure
```
data_SrCaYRuO6
_chemical_formula_sum 'Sr2 Ca2 Y2 Ru2 O12'
_cell_length_a 5.705
_cell_length_b 5.870
_cell_length_c 9.936
_cell_angle_alpha 90.00
_cell_angle_beta 124.75
_cell_angle_gamma 90.00
_space_group_name_H-M_alt 'P 1 c 1'
_space_group_IT_number 7
loop_
_space_group_symop_operation_xyz
'x,y,z'
'x,-y,z+1/2'
loop_
_atom_site_label
_atom_site_type_symbol
_atom_site_fract_x
_atom_site_fract_y
_atom_site_fract_z
_atom_site_occupancy
Sr1 Sr 0.000 0.208 0.000 1
Ca1 Ca 0.519 0.303 0.496 1
Y1 Y 0.258 0.248 0.749 1
Ru1 Ru 0.760 0.250 0.250 1
O1 O 0.097 0.222 0.483 1
O2 O 0.446 0.289 0.017 1
O3 O 0.523 0.066 0.300 1
O4 O 0.616 0.478 0.801 1
O5 O 0.882 0.036 0.696 1
O6 O 0.994 0.445 0.208 1
```

Most intense lines, 2θ = 10–90°, by angle:
2θ = 21.7°, d 4.088, I = 37, (1 1 -1)
2θ = 30.5°, d 2.935, I = 49, (0 2 0)
2θ = 30.9°, d 2.895, I = 100, (1 1 1)
2θ = 31.0°, d 2.884, I = 99, (1 1 -3)
2θ = 31.4°, d 2.852, I = 46, (2 0 -2)
2θ = 44.3°, d 2.046, I = 55, (2 2 -2)
2θ = 44.4°, d 2.041, I = 30, (0 0 4)
2θ = 54.4°, d 1.686, I = 34, (1 3 -3)
2θ = 55.5°, d 1.656, I = 32, (3 1 -1)
2θ = 55.7°, d 1.651, I = 25, (3 1 -5)

***

The following is a theoretical X-ray powder pattern of LiLuF4. It was derived from a crystal structure in the Materials Project, relaxed with PBE, using CuKα.
Kinematic intensities with the Lorentz-polarization factor, no thermal factor.

Crystal structure
```
data_LiLuF4
_chemical_formula_sum 'Li4 Lu4 F16'
_cell_length_a 7.136
_cell_length_b 10.515
_cell_length_c 5.120
_cell_angle_alpha 90.00
_cell_angle_beta 133.15
_cell_angle_gamma 90.00
_space_group_name_H-M_alt 'C 1 2/c 1'
_space_group_IT_number 15
loop_
_space_group_symop_operation_xyz
'x,y,z'
'-x,-y,-z'
'-x,y,-z+1/2'
'x,-y,z+1/2'
'x+1/2,y+1/2,z'
'-x+1/2,-y+1/2,-z'
'-x+1/2,y+1/2,-z+1/2'
'x+1/2,-y+1/2,z+1/2'
loop_
_atom_site_label
_atom_site_type_symbol
_atom_site_fract_x
_atom_site_fract_y
_atom_site_fract_z
_atom_site_occupancy
Li1 Li 0.000 0.110 0.250 1
Lu1 Lu 0.000 0.373 0.750 1
F1 F 0.160 0.206 0.126 1
F2 F 0.216 0.459 0.281 1
```

Most intense lines, 2θ = 10–90°, by angle:
2θ = 19.0°, d 4.666, I = 93, (1 1 0)
2θ = 19.3°, d 4.600, I = 100, (1 1 -1)
2θ = 29.3°, d 3.045, I = 69, (0 2 1)
2θ = 30.3°, d 2.952, I = 64, (2 2 -1)
2θ = 39.5°, d 2.283, I = 23, (1 1 -2)
2θ = 40.5°, d 2.226, I = 24, (3 1 -1)
2θ = 46.7°, d 1.945, I = 25, (1 5 -1)
2θ = 49.3°, d 1.850, I = 22, (2 4 0)
2θ = 49.7°, d 1.833, I = 23, (2 4 -2)
2θ = 58.1°, d 1.588, I = 25, (2 2 1)

***

The following is a theoretical X-ray powder pattern of MgSi. It was derived from a crystal structure in the Materials Project, relaxed with PBE, using CuKα.
Kinematic intensities with the Lorentz-polarization factor, no thermal factor.

Crystal structure
```
data_MgSi
_chemical_formula_sum 'Mg2 Si2'
_cell_length_a 4.445
_cell_length_b 3.618
_cell_length_c 5.129
_cell_angle_alpha 90.00
_cell_angle_beta 110.92
_cell_angle_gamma 90.00
_space_group_name_H-M_alt 'P 1 21/m 1'
_space_group_IT_number 11
loop_
_space_group_symop_operation_xyz
'x,y,z'
'-x,-y,-z'
'-x,y+1/2,-z'
'x,-y+1/2,z'
loop_
_atom_site_label
_atom_site_type_symbol
_atom_site_fract_x
_atom_site_fract_y
_atom_site_fract_z
_atom_site_occupancy
Mg1 Mg 0.159 0.250 0.283 1
Si1 Si 0.377 0.250 0.847 1
```

Most intense lines, 2θ = 10–90°, by angle:
2θ = 18.5°, d 4.791, I = 17, (0 0 1)
2θ = 32.8°, d 2.727, I = 100, (1 1 0)
2θ = 33.8°, d 2.653, I = 29, (1 1 -1)
2θ = 36.0°, d 2.496, I = 24, (1 0 -2)
2θ = 37.5°, d 2.396, I = 22, (0 0 2)
2θ = 40.7°, d 2.215, I = 37, (2 0 -1)
2θ = 41.8°, d 2.162, I = 39, (1 1 1)
2θ = 44.1°, d 2.055, I = 39, (1 1 -2)
2θ = 45.4°, d 1.997, I = 31, (0 1 2)
2θ = 50.5°, d 1.809, I = 24, (0 2 0)

***

The following is a theoretical X-ray powder pattern of ZrSi2. It was derived from a crystal structure in the Materials Project, relaxed with PBE, using CuKα.
Kinematic intensities with the Lorentz-polarization factor, no thermal factor.

Crystal structure
```
data_ZrSi2
_chemical_formula_sum 'Zr4 Si8'
_cell_length_a 3.721
_cell_length_b 14.753
_cell_length_c 3.680
_cell_angle_alpha 90.00
_cell_angle_beta 90.00
_cell_angle_gamma 90.00
_space_group_name_H-M_alt 'C m c m'
_space_group_IT_number 63
_space_group_name_Hall '-C 2c 2'
loop_
_atom_site_label
_atom_site_type_symbol
_atom_site_fract_x
_atom_site_fract_y
_atom_site_fract_z
_atom_site_occupancy
Zr1 Zr 0.000 0.105 0.250 1
Si1 Si 0.000 0.250 0.750 1
Si2 Si 0.000 0.446 0.250 1
```

Most intense lines, 2θ = 10–90°, by angle:
2θ = 24.7°, d 3.608, I = 16, (1 1 0)
2θ = 27.1°, d 3.293, I = 31, (0 2 1)
2θ = 30.1°, d 2.967, I = 12, (1 3 0)
2θ = 34.8°, d 2.576, I = 9, (1 1 1)
2θ = 36.5°, d 2.459, I = 14, (0 6 0)
2θ = 39.0°, d 2.310, I = 100, (1 3 1)
2θ = 44.3°, d 2.044, I = 13, (0 6 1)
2θ = 49.0°, d 1.860, I = 12, (2 0 0)
2θ = 49.5°, d 1.840, I = 12, (0 0 2)
2θ = 84.8°, d 1.143, I = 10, (3 3 1)

***

The following is a theoretical X-ray powder pattern of UAl7Fe5. It was derived from a crystal structure in the Materials Project, relaxed with PBE, using CuKα.
Kinematic intensities with the Lorentz-polarization factor, no thermal factor.

Crystal structure
```
data_UAl7Fe5
_chemical_formula_sum 'U2 Al14 Fe10'
_cell_length_a 4.940
_cell_length_b 8.627
_cell_length_c 8.593
_cell_angle_alpha 90.00
_cell_angle_beta 90.00
_cell_angle_gamma 90.00
_space_group_name_H-M_alt 'I m m 2'
_space_group_IT_number 44
loop_
_space_group_symop_operation_xyz
'x,y,z'
'-x,-y,z'
'-x,y,z'
'x,-y,z'
'x+1/2,y+1/2,z+1/2'
'-x+1/2,-y+1/2,z+1/2'
'-x+1/2,y+1/2,z+1/2'
'x+1/2,-y+1/2,z+1/2'
loop_
_atom_site_label
_atom_site_type_symbol
_atom_site_fract_x
_atom_site_fract_y
_atom_site_fract_z
_atom_site_occupancy
U1 U 0.000 0.000 0.000 1
Al1 Al 0.000 0.000 0.335 1
Al2 Al 0.000 0.000 0.651 1
Al3 Al 0.000 0.288 0.492 1
Al4 Al 0.000 0.345 0.980 1
Al5 Al 0.000 0.500 0.266 1
Fe1 Fe 0.000 0.500 0.716 1
Fe2 Fe 0.248 0.248 0.237 1
```

Most intense lines, 2θ = 10–90°, by angle:
2θ = 14.5°, d 6.088, I = 66, (0 1 1)
2θ = 20.7°, d 4.284, I = 43, (1 0 1)
2θ = 29.4°, d 3.039, I = 100, (0 2 2)
2θ = 36.1°, d 2.485, I = 16, (1 3 0)
2θ = 36.3°, d 2.478, I = 20, (1 0 3)
2θ = 41.9°, d 2.157, I = 23, (0 4 0)
2θ = 42.0°, d 2.150, I = 92, (0 0 4)
2θ = 42.2°, d 2.142, I = 65, (2 2 0)
2θ = 49.8°, d 1.829, I = 17, (2 3 1)
2θ = 69.3°, d 1.356, I = 16, (3 3 2)